# Tb4Se3S2
Calculated powder diffractogram, Cu Kα (weighted mean of Kα1 and Kα2). Input: a crystal structure in Alexandria, relaxed with GGA-PBE.
Kinematic intensities with the Lorentz-polarization factor, no thermal factor.

Largest 8 diffraction maxima, low angle first, 2θ = 10–90°:
2theta	d [Å]	I/Imax
25.9	3.434	45
26.2	3.396	34
30.6	2.923	68
32.2	2.778	76
33.3	2.688	100
40.8	2.211	62
43.7	2.071	62
47.5	1.914	39

Structure:
a = 7.127 Å, b = 7.127 Å, c = 8.641 Å
α = 98.19°, β = 98.19°, γ = 31.16°
Element x y z (fractional)
Tb 0.073 0.073 0.178
Tb 0.345 0.345 0.389
Tb 0.655 0.655 0.611
Tb 0.927 0.927 0.822
Se 0.000 0.000 0.500
Se 0.405 0.405 0.092
Se 0.595 0.595 0.908
S 0.295 0.295 0.691
S 0.705 0.705 0.309

=====

# Tb4Se2S
Calculated powder diffractogram, Cu Kα (weighted mean of Kα1 and Kα2). Input: a crystal structure in Alexandria, relaxed with GGA-PBE.
Kinematic intensities with the Lorentz-polarization factor, no thermal factor.

Largest 8 diffraction maxima, low angle first, 2θ = 10–90°:
2theta	d [Å]	I/Imax
27.3	3.268	54
31.6	2.830	100
45.3	2.002	61
53.7	1.708	17
56.2	1.636	13
56.4	1.631	13
75.1	1.266	21
83.6	1.157	12

Structure:
a = 6.928 Å, b = 6.928 Å, c = 4.009 Å
α = 90.00°, β = 90.00°, γ = 109.62°
Element x y z (fractional)
Tb 0.242 0.758 0.000
Tb 0.243 0.243 0.500
Tb 0.757 0.757 0.500
Tb 0.758 0.242 0.000
Se 0.000 0.500 0.500
Se 0.500 0.000 0.500
S 0.000 0.000 0.000

=====

# Tb7Se5S
Calculated powder diffractogram, Cu Kα (weighted mean of Kα1 and Kα2). Input: a crystal structure in Alexandria, relaxed with GGA-PBE.
Kinematic intensities with the Lorentz-polarization factor, no thermal factor.

Largest 8 diffraction maxima, low angle first, 2θ = 10–90°:
2theta	d [Å]	I/Imax
28.4	3.142	78
29.2	3.063	87
30.6	2.921	71
31.0	2.881	92
31.3	2.854	100
32.1	2.792	89
32.5	2.755	100
46.0	1.974	83

Structure:
a = 6.942 Å, b = 6.942 Å, c = 24.554 Å
α = 91.68°, β = 91.68°, γ = 33.04°
Element x y z (fractional)
Tb 0.038 0.038 0.252
Tb 0.137 0.137 0.962
Tb 0.143 0.143 0.538
Tb 0.286 0.286 0.317
Tb 0.303 0.303 0.179
Tb 0.408 0.408 0.883
Tb 0.429 0.429 0.610
Tb 0.571 0.571 0.390
Tb 0.592 0.592 0.117
Tb 0.697 0.697 0.821
Tb 0.714 0.714 0.683
Tb 0.857 0.857 0.462
Tb 0.863 0.863 0.038
Tb 0.962 0.962 0.748
Se 0.052 0.052 0.854
Se 0.072 0.072 0.647
Se 0.215 0.215 0.427
Se 0.221 0.221 0.071
Se 0.500 0.500 0.000
Se 0.500 0.500 0.500
Se 0.779 0.779 0.929
Se 0.785 0.785 0.573
Se 0.928 0.928 0.353
Se 0.948 0.948 0.146
S 0.318 0.318 0.775
S 0.682 0.682 0.225

=====

# Tb4Se4S
Calculated powder diffractogram, Cu Kα (weighted mean of Kα1 and Kα2). Input: a crystal structure in Alexandria, relaxed with GGA-PBE.
Kinematic intensities with the Lorentz-polarization factor, no thermal factor.

Largest 8 diffraction maxima, low angle first, 2θ = 10–90°:
2theta	d [Å]	I/Imax
13.9	6.356	19
27.0	3.299	23
31.0	2.886	49
31.5	2.843	100
44.8	2.025	75
45.1	2.010	34
55.7	1.649	36
83.0	1.163	21

Structure:
a = 6.981 Å, b = 6.981 Å, c = 6.981 Å
α = 99.84°, β = 99.84°, γ = 131.16°
Element x y z (fractional)
Tb 0.097 0.710 0.807
Tb 0.290 0.097 0.388
Tb 0.710 0.903 0.612
Tb 0.903 0.290 0.193
Se 0.205 0.406 0.611
Se 0.406 0.795 0.200
Se 0.594 0.205 0.800
Se 0.795 0.594 0.389
S 0.000 0.000 0.000